Computed powder X-ray diffraction pattern of Tm3PaO7 for Cu Kα, 1.54184 Å, from a GGA-PBE-relaxed structure.
Lines closer than 0.1° are merged.

Top 6 peaks for 2θ = 10–80°, sorted by position:
- hkl 0 2 2, 28.8°, d 3.104, rel. 100
- hkl 2 2 0, 28.9°, d 3.085, rel. 97
- hkl 2 0 2, 33.4°, d 2.680, rel. 72
- hkl 2 4 2, 48.0°, d 1.895, rel. 61
- hkl 2 2 4, 56.8°, d 1.620, rel. 30
- hkl 2 6 0, 57.1°, d 1.613, rel. 40

```
data_Tm3PaO7
_chemical_formula_sum 'Tm12 Pa4 O28'
_symmetry_space_group_name_H-M 'C m c m'
_symmetry_Int_Tables_number 63
_symmetry_space_group_name_Hall '-C 2c 2'
_cell_length_a 7.5476
_cell_length_b 10.7120
_cell_length_c 7.6173
_cell_angle_alpha 90.00
_cell_angle_beta 90.00
_cell_angle_gamma 90.00
loop_
_atom_site_label
_atom_site_type_symbol
_atom_site_fract_x
_atom_site_fract_y
_atom_site_fract_z
Tm1 Tm 0.0000 0.0000 0.0000
Tm2 Tm 0.2306 0.2607 0.2500
Pa1 Pa 0.0000 0.5000 0.0000
O1 O 0.0000 0.1317 0.2500
O2 O 0.0000 0.1366 0.7500
O3 O 0.0000 0.3961 0.2500
O4 O 0.2156 0.3736 0.5312
```

=====

Computed powder X-ray diffraction pattern of TmPaO for Cu Kα, 1.54184 Å, from a GGA-PBE-relaxed structure.
Lines closer than 0.1° are merged.

Top 6 peaks for 2θ = 10–80°, sorted by position:
- hkl 1 0 1, 26.5°, d 3.367, rel. 59
- hkl 0 0 4, 28.5°, d 3.133, rel. 66
- hkl 0 2 2, 31.5°, d 2.840, rel. 100
- hkl 1 1 2, 32.5°, d 2.753, rel. 64
- hkl 1 0 3, 33.4°, d 2.681, rel. 51
- hkl 2 0 0, 52.4°, d 1.747, rel. 38

```
data_TmPaO
_chemical_formula_sum 'Tm4 Pa4 O4'
_symmetry_space_group_name_H-M 'I m m m'
_symmetry_Int_Tables_number 71
_symmetry_space_group_name_Hall '-I 2 2'
_cell_length_a 3.4960
_cell_length_b 6.3731
_cell_length_c 12.5313
_cell_angle_alpha 90.00
_cell_angle_beta 90.00
_cell_angle_gamma 90.00
loop_
_atom_site_label
_atom_site_type_symbol
_atom_site_fract_x
_atom_site_fract_y
_atom_site_fract_z
Tm1 Tm 0.0000 0.0000 0.2321
Pa1 Pa 0.0000 0.2876 0.5000
O1 O 0.0000 0.0000 0.4005
```

=====

Computed powder X-ray diffraction pattern of U3Pa2O9 for Cu Kα, 1.54184 Å, from a GGA-PBE-relaxed structure.
Lines closer than 0.1° are merged.

Top 6 peaks for 2θ = 10–80°, sorted by position:
- hkl 1 0 5, 28.4°, d 3.145, rel. 100
- hkl 1 1 0, 32.9°, d 2.723, rel. 39
- hkl 2 0 0, 47.2°, d 1.926, rel. 48
- hkl 2 1 5, 56.0°, d 1.642, rel. 47
- hkl 2 0 10, 58.7°, d 1.572, rel. 11
- hkl 3 0 5, 76.2°, d 1.250, rel. 20

```
data_U3Pa2O9
_chemical_formula_sum 'U6 Pa4 O18'
_symmetry_space_group_name_H-M 'I -4 m 2'
_symmetry_Int_Tables_number 119
_symmetry_space_group_name_Hall 'I -4 -2'
_cell_length_a 3.8540
_cell_length_b 3.8540
_cell_length_c 27.1931
_cell_angle_alpha 90.00
_cell_angle_beta 90.00
_cell_angle_gamma 90.00
loop_
_atom_site_label
_atom_site_type_symbol
_atom_site_fract_x
_atom_site_fract_y
_atom_site_fract_z
U1 U 0.0000 0.0000 0.0000
U2 U 0.0000 0.0000 0.4020
Pa1 Pa 0.0000 0.0000 0.1978
O1 O 0.0000 0.5000 0.0495
O2 O 0.0000 0.5000 0.1502
O3 O 0.0000 0.5000 0.2500
O4 O 0.0000 0.5000 0.5510
O5 O 0.0000 0.5000 0.6542
```

=====

Computed powder X-ray diffraction pattern of UPa2O7 for Cu Kα, 1.54184 Å, from a GGA-PBE-relaxed structure.
Lines closer than 0.1° are merged.

Top 6 peaks for 2θ = 10–80°, sorted by position:
- hkl 0 0 9, 25.4°, d 3.510, rel. 51
- hkl 0 1 2, 27.2°, d 3.279, rel. 100
- hkl 0 1 5, 30.2°, d 2.961, rel. 55
- hkl 1 0 7, 33.3°, d 2.691, rel. 65
- hkl 1 1 0, 47.0°, d 1.935, rel. 52
- hkl 0 1 14, 48.6°, d 1.872, rel. 41

```
data_UPa2O7
_chemical_formula_sum 'U3 Pa6 O21'
_symmetry_space_group_name_H-M 'R -3 m'
_symmetry_Int_Tables_number 166
_symmetry_space_group_name_Hall '-R 3 2"'
_cell_length_a 3.8703
_cell_length_b 3.8703
_cell_length_c 31.5861
_cell_angle_alpha 90.00
_cell_angle_beta 90.00
_cell_angle_gamma 120.00
loop_
_atom_site_label
_atom_site_type_symbol
_atom_site_fract_x
_atom_site_fract_y
_atom_site_fract_z
U1 U 0.0000 0.0000 0.0000
Pa1 Pa 0.0000 0.0000 0.4335
O1 O 0.0000 0.0000 0.0730
O2 O 0.0000 0.0000 0.2208
O3 O 0.0000 0.0000 0.3576
O4 O 0.0000 0.0000 0.5000
```